1.
For NbAsPCl13, DFT lattice parameters and positions (PBE) gives the calculated powder diffraction line list in this record (Cu Kα (weighted mean of Kα1 and Kα2)).

Principal peaks in the range 2θ from 5° to 70°, sorted by position:
| d (Å) | Position (°2θ) | I (rel.) |
| --- | --- | --- |
| 7.162 | 12.36 | 60 |
| 6.055 | 14.63 | 28 |
| 5.270 | 16.82 | 58 |
| 5.003 | 17.73 | 46 |
| 4.877 | 18.19 | 100 |
| 3.581 | 24.86 | 37 |
| 3.047 | 29.31 | 28 |
| 3.028 | 29.50 | 28 |
| 2.988 | 29.90 | 37 |
| 2.388 | 37.66 | 23 |

Structure:
Lattice parameters (Å, degrees): 9.7884 9.7884 12.1109 90.00 90.00 114.86
Positions (direct):
Nb  0.2057  0.7943  0.5000
Nb  0.7943  0.2057  0.0000
As  0.4526  0.5474  0.3506
As  0.5474  0.4526  0.8506
P  0.1409  0.8591  0.0390
P  0.8591  0.1409  0.5390
Cl  0.0120  0.3074  0.1138
Cl  0.0657  0.2373  0.5946
Cl  0.0878  0.9122  0.3854
Cl  0.1036  0.5750  0.3840
Cl  0.1390  0.8610  0.8775
Cl  0.2373  0.0657  0.0946
Cl  0.2533  0.7467  0.0897
Cl  0.3024  0.3780  0.8742
Cl  0.3074  0.0120  0.6138
Cl  0.3255  0.6745  0.6090
Cl  0.3780  0.3024  0.3742
Cl  0.4250  0.8964  0.3840
Cl  0.4490  0.5510  0.1670
Cl  0.5510  0.4490  0.6670
Cl  0.5750  0.1036  0.8840
Cl  0.6220  0.6976  0.8742
Cl  0.6745  0.3255  0.1090
Cl  0.6926  0.9880  0.1138
Cl  0.6976  0.6220  0.3742
Cl  0.7467  0.2533  0.5897
Cl  0.7627  0.9343  0.5946
Cl  0.8610  0.1390  0.3775
Cl  0.8964  0.4250  0.8840
Cl  0.9122  0.0878  0.8854
Cl  0.9343  0.7627  0.0946
Cl  0.9880  0.6926  0.6138

2.
For BPPbO5, DFT lattice parameters and positions (PBE) gives the calculated powder diffraction line list in this record (Cu Kα (weighted mean of Kα1 and Kα2)).

Principal peaks in the range 2θ from 5° to 70°, sorted by position:
| d (Å) | Position (°2θ) | I (rel.) |
| --- | --- | --- |
| 4.570 | 19.42 | 95 |
| 3.507 | 25.40 | 100 |
| 3.037 | 29.41 | 27 |
| 3.013 | 29.65 | 90 |
| 2.782 | 32.17 | 26 |
| 2.285 | 39.43 | 31 |
| 2.180 | 41.43 | 54 |
| 1.931 | 47.07 | 26 |
| 1.915 | 47.49 | 53 |
| 1.384 | 67.70 | 18 |

Structure:
Lattice parameters (Å, degrees): 7.0142 7.0142 6.9386 90.00 90.00 120.00
Positions (direct):
B  0.0000  0.9019  0.1667
B  0.0981  0.0981  0.5000
B  0.9019  0.0000  0.8333
P  0.0000  0.4000  0.6667
P  0.4000  0.0000  0.3333
P  0.6000  0.6000  0.0000
Pb  0.0000  0.3895  0.1667
Pb  0.3895  0.0000  0.8333
Pb  0.6105  0.6105  0.5000
O  0.0000  0.9574  0.6667
O  0.0426  0.0426  0.0000
O  0.1390  0.5816  0.8088
O  0.1458  0.3315  0.5380
O  0.1857  0.8542  0.2047
O  0.3315  0.1458  0.4620
O  0.4184  0.5574  0.1422
O  0.4426  0.8610  0.4755
O  0.5574  0.4184  0.8578
O  0.5816  0.1390  0.1912
O  0.6685  0.8143  0.8713
O  0.8143  0.6685  0.1287
O  0.8542  0.1857  0.7953
O  0.8610  0.4426  0.5245
O  0.9574  0.0000  0.3333

3.
For TiCoNi2, DFT lattice parameters and positions (PBE) gives the calculated powder diffraction line list in this record (Cu Kα (weighted mean of Kα1 and Kα2)).

Principal peaks in the range 2θ from 5° to 70°, sorted by position:
| d (Å) | Position (°2θ) | I (rel.) |
| --- | --- | --- |
| 4.403 | 20.17 | 1 |
| 3.889 | 22.87 | 2 |
| 2.205 | 40.92 | 3 |
| 2.200 | 41.03 | 6 |
| 2.131 | 42.41 | 14 |
| 2.126 | 42.51 | 29 |
| 2.072 | 43.69 | 36 |
| 1.944 | 46.72 | 100 |
| 1.722 | 53.20 | 21 |
| 1.509 | 61.45 | 5 |

Structure:
Lattice parameters (Å, degrees): 8.2871 5.0889 5.0889 59.84 90.00 90.00
Positions (direct):
Ti  0.0000  0.0000  0.0000
Ti  0.2468  0.6672  0.6672
Ti  0.5000  0.3327  0.3327
Ti  0.7532  0.6672  0.6672
Co  0.0000  0.0124  0.4937
Co  0.0000  0.4937  0.0124
Co  0.0000  0.4941  0.4941
Co  0.5000  0.8388  0.8388
Ni  0.2500  0.1659  0.6671
Ni  0.2500  0.1665  0.1665
Ni  0.2500  0.6671  0.1659
Ni  0.5000  0.3226  0.8380
Ni  0.5000  0.8380  0.3226
Ni  0.7500  0.1659  0.6671
Ni  0.7500  0.1665  0.1665
Ni  0.7500  0.6671  0.1659

4.
For Ti2VSe4, DFT lattice parameters and positions (PBE) gives the calculated powder diffraction line list in this record (Cu Kα (weighted mean of Kα1 and Kα2)).

Principal peaks in the range 2θ from 5° to 70°, sorted by position:
| d (Å) | Position (°2θ) | I (rel.) |
| --- | --- | --- |
| 2.847 | 31.43 | 33 |
| 2.803 | 31.92 | 52 |
| 2.749 | 32.57 | 100 |
| 2.729 | 32.81 | 47 |
| 2.213 | 40.78 | 20 |
| 2.161 | 41.80 | 40 |
| 2.142 | 42.19 | 44 |
| 1.822 | 50.06 | 51 |
| 1.754 | 52.14 | 27 |
| 1.674 | 54.84 | 18 |

Structure:
Lattice parameters (Å, degrees): 13.5335 3.5082 6.3982 90.00 117.15 90.00
Positions (direct):
Ti  0.0000  0.0000  0.0000
Ti  0.2474  0.5000  0.7002
Ti  0.5000  0.5000  0.0000
Ti  0.7474  0.0000  0.7002
V  0.2528  0.0000  0.3012
V  0.7528  0.5000  0.3012
Se  0.1101  0.0000  0.4471
Se  0.1378  0.5000  0.9755
Se  0.3639  0.0000  0.0337
Se  0.3888  0.5000  0.5480
Se  0.6101  0.5000  0.4471
Se  0.6378  0.0000  0.9755
Se  0.8639  0.5000  0.0337
Se  0.8888  0.0000  0.5480

5.
For LaS2, DFT lattice parameters and positions (PBE) gives the calculated powder diffraction line list in this record (Cu Kα (weighted mean of Kα1 and Kα2)).

Principal peaks in the range 2θ from 5° to 70°, sorted by position:
| d (Å) | Position (°2θ) | I (rel.) |
| --- | --- | --- |
| 4.105 | 21.65 | 42 |
| 4.030 | 22.05 | 42 |
| 3.965 | 22.42 | 43 |
| 3.311 | 26.93 | 36 |
| 3.274 | 27.24 | 35 |
| 2.914 | 30.68 | 72 |
| 2.747 | 32.60 | 38 |
| 2.737 | 32.72 | 25 |
| 2.376 | 37.86 | 100 |
| 2.043 | 44.34 | 49 |

Structure:
Lattice parameters (Å, degrees): 8.1719 4.1575 16.4215 90.00 90.00 90.00
Positions (direct):
La  0.1292  0.2188  0.0000
La  0.1392  0.2193  0.7228
La  0.3608  0.7193  0.2228
La  0.3708  0.7188  0.5000
La  0.6292  0.2812  0.0000
La  0.6392  0.2807  0.7228
La  0.8608  0.7807  0.2228
La  0.8708  0.7812  0.5000
S  0.1029  0.6442  0.3610
S  0.1036  0.6621  0.8615
S  0.1166  0.2370  0.1786
S  0.1277  0.2396  0.5439
S  0.3723  0.7396  0.0439
S  0.3834  0.7370  0.6786
S  0.3964  0.1621  0.3615
S  0.3971  0.1442  0.8610
S  0.6029  0.8558  0.3610
S  0.6036  0.8379  0.8615
S  0.6166  0.2630  0.1786
S  0.6277  0.2604  0.5439
S  0.8723  0.7604  0.0439
S  0.8834  0.7630  0.6786
S  0.8964  0.3379  0.3615
S  0.8971  0.3558  0.8610

6.
For MgTl2P4O16, DFT lattice parameters and positions (PBE) gives the calculated powder diffraction line list in this record (Cu Kα (weighted mean of Kα1 and Kα2)).

Principal peaks in the range 2θ from 5° to 70°, sorted by position:
| d (Å) | Position (°2θ) | I (rel.) |
| --- | --- | --- |
| 6.854 | 12.92 | 48 |
| 5.328 | 16.64 | 24 |
| 4.899 | 18.11 | 66 |
| 4.434 | 20.03 | 39 |
| 3.571 | 24.93 | 61 |
| 3.429 | 25.98 | 100 |
| 3.096 | 28.84 | 47 |
| 3.034 | 29.44 | 24 |
| 2.770 | 32.32 | 27 |
| 2.582 | 34.74 | 38 |

Structure:
Lattice parameters (Å, degrees): 6.9215 7.4448 7.8360 67.06 81.96 88.18
Positions (direct):
Mg  0.0000  0.0000  0.0000
Tl  0.2553  0.5655  0.7867
Tl  0.7447  0.4345  0.2133
P  0.2324  0.1560  0.2622
P  0.3249  0.7570  0.2722
P  0.6751  0.2430  0.7278
P  0.7676  0.8440  0.7378
O  0.1019  0.1769  0.1144
O  0.1251  0.1904  0.4320
O  0.1728  0.7800  0.1436
O  0.2503  0.0440  0.7859
O  0.2972  0.5721  0.4513
O  0.3148  0.9375  0.3395
O  0.4045  0.3023  0.1883
O  0.4660  0.2421  0.8310
O  0.5340  0.7579  0.1690
O  0.5955  0.6977  0.8117
O  0.6852  0.0625  0.6605
O  0.7028  0.4279  0.5487
O  0.7497  0.9560  0.2141
O  0.8272  0.2200  0.8564
O  0.8749  0.8096  0.5680
O  0.8981  0.8231  0.8856